For Tm4PbS3, a structure optimized by DFT (GGA-PBE) gives the theoretical PXRD pattern in this record (Cu Kα X-rays).
Lines closer than 0.1° are merged.

Main lines, low angle first (2θ from 10° to 90°):
- 26.89°, intensity 20
- 27.70°, intensity 20
- 31.42°, intensity 53
- 31.72°, intensity 100
- 45.25°, intensity 75
- 46.51°, intensity 18
- 55.42°, intensity 18
- 57.20°, intensity 19

Crystal structure
```
data_Tm4PbS3
_symmetry_space_group_name_H-M 'P m m m'
_symmetry_Int_Tables_number 47
_cell_length_a 3.9053
_cell_length_b 5.6949
_cell_length_c 8.1577
_cell_angle_alpha 90.00
_cell_angle_beta 90.00
_cell_angle_gamma 90.00
loop_
_symmetry_equiv_pos_as_xyz
'x,y,z'
'-x,-y,-z'
'-x,-y,z'
'x,y,-z'
'x,-y,-z'
'-x,y,z'
'-x,y,-z'
'x,-y,z'
loop_
_atom_site_label
_atom_site_type_symbol
_atom_site_fract_x
_atom_site_fract_y
_atom_site_fract_z
_atom_site_occupancy
Tm1 Tm 0.0000 0.0000 0.0000 1
Tm2 Tm 0.0000 0.0000 0.5000 1
Tm3 Tm 0.5000 0.5000 0.2249 1
Pb1 Pb 0.0000 0.5000 0.5000 1
S1 S 0.0000 0.5000 0.0000 1
S2 S 0.5000 0.0000 0.2417 1
```

For HfPaCN, a structure optimized by DFT (GGA-PBE) gives the theoretical PXRD pattern in this record (Cu Kα X-rays).
Lines closer than 0.1° are merged.

Main lines, low angle first (2θ from 10° to 90°):
- 25.13°, intensity 66
- 31.58°, intensity 73
- 32.89°, intensity 38
- 34.05°, intensity 100
- 39.18°, intensity 44
- 46.16°, intensity 44
- 55.84°, intensity 45
- 57.83°, intensity 33

Crystal structure
```
data_HfPaCN
_symmetry_space_group_name_H-M 'P 4/n m m'
_symmetry_Int_Tables_number 129
_cell_length_a 3.9332
_cell_length_b 3.9332
_cell_length_c 8.1704
_cell_angle_alpha 90.00
_cell_angle_beta 90.00
_cell_angle_gamma 90.00
loop_
_symmetry_equiv_pos_as_xyz
'x,y,z'
'-x,-y,-z'
'-y+1/2,x,z'
'y+1/2,-x,-z'
'-x+1/2,-y+1/2,z'
'x+1/2,y+1/2,-z'
'y,-x+1/2,z'
'-y,x+1/2,-z'
'x+1/2,-y,-z'
'-x+1/2,y,z'
'-y,-x,-z'
'y,x,z'
'-x,y+1/2,-z'
'x,-y+1/2,z'
'y+1/2,x+1/2,-z'
'-y+1/2,-x+1/2,z'
loop_
_atom_site_label
_atom_site_type_symbol
_atom_site_fract_x
_atom_site_fract_y
_atom_site_fract_z
_atom_site_occupancy
Hf1 Hf 0.2500 0.7500 0.0000 1
Pa1 Pa 0.2500 0.2500 0.3584 1
C1 C 0.2500 0.2500 0.8454 1
N1 N 0.2500 0.7500 0.5000 1
```

For CsHgCl4, a structure optimized by DFT (GGA-PBE) gives the theoretical PXRD pattern in this record (Cu Kα X-rays).
Lines closer than 0.1° are merged.

Main lines, low angle first (2θ from 10° to 90°):
- 18.71°, intensity 51
- 20.56°, intensity 84
- 24.51°, intensity 100
- 30.63°, intensity 48
- 32.31°, intensity 47
- 37.61°, intensity 35
- 38.94°, intensity 34
- 45.12°, intensity 33

Crystal structure
```
data_CsHgCl4
_symmetry_space_group_name_H-M 'C m c m'
_symmetry_Int_Tables_number 63
_symmetry_space_group_name_Hall '-C 2c 2'
_cell_length_a 5.5425
_cell_length_b 18.9714
_cell_length_c 7.4050
_cell_angle_alpha 90.00
_cell_angle_beta 90.00
_cell_angle_gamma 90.00
loop_
_atom_site_label
_atom_site_type_symbol
_atom_site_fract_x
_atom_site_fract_y
_atom_site_fract_z
_atom_site_occupancy
Cs1 Cs 0.0000 0.1215 0.2500 1
Hg1 Hg 0.0000 0.4034 0.2500 1
Cl1 Cl 0.0000 0.0790 0.7500 1
Cl2 Cl 0.0000 0.3146 0.0061 1
Cl3 Cl 0.0000 0.5000 0.0000 1
```

For CdAsPd, a structure optimized by DFT (GGA-PBE) gives the theoretical PXRD pattern in this record (Cu Kα X-rays).
Lines closer than 0.1° are merged.

Main lines, low angle first (2θ from 10° to 90°):
- 35.42°, intensity 100
- 41.03°, intensity 68
- 54.04°, intensity 10
- 55.30°, intensity 27
- 70.02°, intensity 27
- 71.12°, intensity 25
- 74.75°, intensity 11
- 89.00°, intensity 7

Crystal structure
```
data_CdAsPd
_symmetry_space_group_name_H-M 'P -6 m 2'
_symmetry_Int_Tables_number 187
_symmetry_space_group_name_Hall 'P -6 2'
_cell_length_a 4.3994
_cell_length_b 4.3994
_cell_length_c 3.3941
_cell_angle_alpha 90.00
_cell_angle_beta 90.00
_cell_angle_gamma 120.00
loop_
_atom_site_label
_atom_site_type_symbol
_atom_site_fract_x
_atom_site_fract_y
_atom_site_fract_z
_atom_site_occupancy
Cd1 Cd 0.0000 0.0000 0.0000 1
As1 As 0.3333 0.6667 0.5000 1
Pd1 Pd 0.6667 0.3333 0.5000 1
```

For Sm4YTh3P8, a structure optimized by DFT (GGA-PBE) gives the theoretical PXRD pattern in this record (Cu Kα X-rays).
Lines closer than 0.1° are merged.

Main lines, low angle first (2θ from 10° to 90°):
- 26.55°, intensity 91
- 30.75°, intensity 100
- 44.04°, intensity 74
- 52.17°, intensity 45
- 54.67°, intensity 26
- 70.60°, intensity 19
- 72.72°, intensity 34
- 81.00°, intensity 26

Crystal structure
```
data_Sm4YTh3P8
_symmetry_space_group_name_H-M 'R -3 m'
_symmetry_Int_Tables_number 166
_symmetry_space_group_name_Hall '-R 3 2"'
_cell_length_a 8.2274
_cell_length_b 8.2274
_cell_length_c 20.1301
_cell_angle_alpha 90.00
_cell_angle_beta 90.00
_cell_angle_gamma 120.00
loop_
_atom_site_label
_atom_site_type_symbol
_atom_site_fract_x
_atom_site_fract_y
_atom_site_fract_z
_atom_site_occupancy
Sm1 Sm 0.0000 0.0000 0.0000 1
Sm2 Sm 0.0000 0.5000 0.0000 1
Y1 Y 0.0000 0.0000 0.5000 1
Th1 Th 0.0000 0.5000 0.5000 1
P1 P 0.0000 0.0000 0.2501 1
P2 P 0.0022 0.5011 0.2492 1
```

For Rb3ReO6, a structure optimized by DFT (GGA-PBE) gives the theoretical PXRD pattern in this record (Cu Kα X-rays).
Lines closer than 0.1° are merged.

Main lines, low angle first (2θ from 10° to 90°):
- 16.49°, intensity 52
- 24.81°, intensity 98
- 27.30°, intensity 100
- 29.00°, intensity 55
- 38.07°, intensity 24
- 44.11°, intensity 48
- 47.48°, intensity 39
- 51.77°, intensity 26

Crystal structure
```
data_Rb3ReO6
_symmetry_space_group_name_H-M 'F m m m'
_symmetry_Int_Tables_number 69
_symmetry_space_group_name_Hall '-F 2 2'
_cell_length_a 8.1141
_cell_length_b 9.4550
_cell_length_c 11.0205
_cell_angle_alpha 90.00
_cell_angle_beta 90.00
_cell_angle_gamma 90.00
loop_
_atom_site_label
_atom_site_type_symbol
_atom_site_fract_x
_atom_site_fract_y
_atom_site_fract_z
_atom_site_occupancy
Rb1 Rb 0.0000 0.0000 0.0000 1
Rb2 Rb 0.2500 0.2500 0.2500 1
Re1 Re 0.0000 0.0000 0.5000 1
O1 O 0.0000 0.2006 0.5000 1
O2 O 0.1657 0.0000 0.3801 1
```